Entry 1:
Starting from a GGA-PBE-relaxed structure, the X-ray powder pattern of Er4Si3O11F2 was computed for λ = 1.5418 Å (Cu Kα).
Intensities are scaled so that the largest is 100.

Crystal structure
abc: 6.4909 6.6208 13.2861
angles: 87.66 85.89 60.86
Space group P-1 (No. 2)
Asymmetric unit:
Er: 0.0609 0.2255 0.4737 (multiplicity 2)
Er: 0.1782 0.1924 0.1710 (multiplicity 2)
Er: 0.2190 0.7131 0.0286 (multiplicity 2)
Er: 0.3250 0.8791 0.7033 (multiplicity 2)
Si: 0.2318 0.6532 0.2831 (multiplicity 2)
Si: 0.2673 0.2308 0.9209 (multiplicity 2)
Si: 0.4924 0.7515 0.4351 (multiplicity 2)
O: 0.0108 0.2140 0.6449 (multiplicity 2)
O: 0.0123 0.4400 0.8878 (multiplicity 2)
O: 0.1730 0.0936 0.0079 (multiplicity 2)
O: 0.2034 0.8238 0.1862 (multiplicity 2)
O: 0.2489 0.4059 0.5189 (multiplicity 2)
O: 0.2646 0.8374 0.5206 (multiplicity 2)
O: 0.3122 0.3865 0.2535 (multiplicity 2)
O: 0.4074 0.3412 0.9790 (multiplicity 2)
O: 0.4228 0.0458 0.8316 (multiplicity 2)
O: 0.4441 0.0022 0.3874 (multiplicity 2)
O: 0.4669 0.5962 0.3475 (multiplicity 2)
F: 0.0355 0.7693 0.6851 (multiplicity 2)
F: 0.2051 0.7589 0.8544 (multiplicity 2)

Largest 10 diffraction maxima, by angle, 2θ = 15–90°:
- (0 1 1), d = 5.314 Å, intensity 56
- (1 0 -2), d = 4.183 Å, intensity 48
- (1 0 3), d = 3.588 Å, intensity 33
- (1 1 -3), d = 3.371 Å, intensity 61
- (1 1 4), d = 2.941 Å, intensity 70
- (0 2 0), d = 2.890 Å, intensity 47
- (0 2 1), d = 2.829 Å, intensity 29
- (2 0 1), d = 2.798 Å, intensity 100
- (0 1 6), d = 2.069 Å, intensity 26
- (3 1 -2), d = 1.982 Å, intensity 28


Entry 2:
Starting from a GGA-PBE-relaxed structure, the X-ray powder pattern of ErPtF7 was computed for λ = 1.5418 Å (Cu Kα).
Intensities are scaled so that the largest is 100.

Crystal structure
abc: 8.8185 5.5156 11.9292
angles: 90.00 117.43 90.00
Space group P2_1/c (No. 14)
Asymmetric unit:
Er: 0.1856 0.2388 0.2642 (multiplicity 4)
Pt: 0.2722 0.7405 0.0431 (multiplicity 4)
F: 0.0217 0.7466 0.9493 (multiplicity 4)
F: 0.0296 0.5835 0.7329 (multiplicity 4)
F: 0.2536 0.5505 0.1763 (multiplicity 4)
F: 0.2757 0.0350 0.1372 (multiplicity 4)
F: 0.2764 0.0626 0.4566 (multiplicity 4)
F: 0.2973 0.5634 0.4150 (multiplicity 4)
F: 0.4771 0.2229 0.3583 (multiplicity 4)

Largest 10 diffraction maxima, by angle, 2θ = 15–90°:
- (1 1 -2), d = 3.995 Å, intensity 100
- (2 0 0), d = 3.914 Å, intensity 42
- (0 1 2), d = 3.819 Å, intensity 15
- (2 1 -2), d = 3.345 Å, intensity 18
- (2 1 0), d = 3.192 Å, intensity 13
- (1 1 2), d = 3.056 Å, intensity 34
- (1 0 -4), d = 2.954 Å, intensity 13
- (0 2 0), d = 2.758 Å, intensity 18
- (1 2 -4), d = 2.016 Å, intensity 14
- (2 1 -6), d = 1.870 Å, intensity 17


Entry 3:
Starting from a GGA-PBE-relaxed structure, the X-ray powder pattern of RbEr3F10 was computed for λ = 1.5418 Å (Cu Kα).
Intensities are scaled so that the largest is 100.

Crystal structure
abc: 8.2121 8.2121 13.4105
angles: 90.00 90.00 120.00
Space group P6_3mc (No. 186)
Asymmetric unit:
Rb: 0.0000 0.0000 0.0000 (multiplicity 2)
Rb: 0.3333 0.6667 0.2590 (multiplicity 2)
Er: 0.0111 0.5056 0.5132 (multiplicity 6)
Er: 0.1743 0.3487 0.7531 (multiplicity 6)
F: 0.0061 0.3411 0.8831 (multiplicity 12)
F: 0.0406 0.5203 0.6874 (multiplicity 6)
F: 0.1098 0.2196 0.2230 (multiplicity 6)
F: 0.1842 0.3684 0.5774 (multiplicity 6)
F: 0.2229 0.4459 0.0497 (multiplicity 6)
F: 0.3333 0.6667 0.4695 (multiplicity 2)
F: 0.3333 0.6667 0.7996 (multiplicity 2)

Largest 10 diffraction maxima, by angle, 2θ = 15–90°:
- (2 0 1), d = 3.437 Å, intensity 44
- (0 0 4), d = 3.353 Å, intensity 37
- (2 0 2), d = 3.142 Å, intensity 100
- (2 0 3), d = 2.783 Å, intensity 20
- (2 0 5), d = 2.141 Å, intensity 14
- (2 2 0), d = 2.053 Å, intensity 35
- (2 0 6), d = 1.892 Å, intensity 32
- (2 2 4), d = 1.751 Å, intensity 41
- (4 0 2), d = 1.719 Å, intensity 22
- (4 2 2), d = 1.318 Å, intensity 14


Entry 4:
Starting from a GGA-PBE-relaxed structure, the X-ray powder pattern of ErSF was computed for λ = 1.5418 Å (Cu Kα).
Intensities are scaled so that the largest is 100.

Crystal structure
abc: 3.7464 3.7464 6.8264
angles: 90.00 90.00 90.00
Space group P4/nmm (No. 129, origin choice 2)
Asymmetric unit:
Er: 0.2500 0.2500 0.2282 (multiplicity 2)
S: 0.2500 0.2500 0.6430 (multiplicity 2)
F: 0.2500 0.7500 0.0000 (multiplicity 2)

Largest 10 diffraction maxima, by angle, 2θ = 15–90°:
- (0 0 2), d = 3.413 Å, intensity 32
- (1 0 1), d = 3.284 Å, intensity 100
- (1 1 0), d = 2.649 Å, intensity 48
- (1 0 2), d = 2.523 Å, intensity 16
- (1 1 2), d = 2.093 Å, intensity 53
- (1 0 3), d = 1.945 Å, intensity 34
- (2 0 0), d = 1.873 Å, intensity 25
- (2 0 2), d = 1.642 Å, intensity 16
- (2 1 1), d = 1.627 Å, intensity 28
- (2 1 3), d = 1.349 Å, intensity 20


Entry 5:
Starting from a GGA-PBE-relaxed structure, the X-ray powder pattern of ErFe3 was computed for λ = 1.5418 Å (Cu Kα).
Intensities are scaled so that the largest is 100.

Crystal structure
abc: 5.0671 5.0671 24.1344
angles: 90.00 90.00 120.00
Space group R-3m (No. 166, hexagonal axes)
Asymmetric unit:
Er: 0.0000 0.0000 0.0000 (multiplicity 3)
Er: 0.0000 0.0000 0.1419 (multiplicity 6)
Fe: 0.0000 0.0000 0.3328 (multiplicity 6)
Fe: 0.0000 0.0000 0.5000 (multiplicity 3)
Fe: 0.0001 0.5000 0.0819 (multiplicity 18)

Largest 10 diffraction maxima, by angle, 2θ = 15–90°:
- (1 0 1), d = 4.317 Å, intensity 16
- (1 0 7), d = 2.711 Å, intensity 54
- (1 1 0), d = 2.534 Å, intensity 58
- (0 1 8), d = 2.486 Å, intensity 36
- (0 2 1), d = 2.185 Å, intensity 39
- (1 1 6), d = 2.144 Å, intensity 100
- (2 1 7), d = 1.495 Å, intensity 18
- (1 2 8), d = 1.453 Å, intensity 13
- (3 0 6), d = 1.375 Å, intensity 23
- (2 2 0), d = 1.267 Å, intensity 21


Entry 6:
Starting from a GGA-PBE-relaxed structure, the X-ray powder pattern of Er4Fe was computed for λ = 1.5418 Å (Cu Kα).
Intensities are scaled so that the largest is 100.

Crystal structure
abc: 10.4261 10.4261 10.4261
angles: 90.00 90.00 90.00
Space group Fd-3m (No. 227, origin choice 2)
Asymmetric unit:
Er: 0.0100 0.0100 0.2400 (multiplicity 32)
Fe: 0.1250 0.1250 0.6250 (multiplicity 8)

Largest 10 diffraction maxima, by angle, 2θ = 15–90°:
- (2 2 2), d = 3.010 Å, intensity 100
- (4 0 0), d = 2.607 Å, intensity 41
- (3 3 1), d = 2.392 Å, intensity 8
- (5 1 1), d = 2.007 Å, intensity 9
- (4 4 0), d = 1.843 Å, intensity 41
- (6 2 2), d = 1.572 Å, intensity 39
- (4 4 4), d = 1.505 Å, intensity 9
- (8 0 0), d = 1.303 Å, intensity 6
- (6 6 2), d = 1.196 Å, intensity 14
- (8 4 0), d = 1.166 Å, intensity 10


Entry 7:
Starting from a GGA-PBE-relaxed structure, the X-ray powder pattern of Er6Fe23 was computed for λ = 1.5418 Å (Cu Kα).
Intensities are scaled so that the largest is 100.

Crystal structure
abc: 11.9546 11.9546 11.9546
angles: 90.00 90.00 90.00
Space group Fm-3m (No. 225)
Asymmetric unit:
Er: 0.0000 0.0000 0.2095 (multiplicity 24)
Fe: 0.0000 0.0000 0.5000 (multiplicity 4)
Fe: 0.0000 0.2500 0.2500 (multiplicity 24)
Fe: 0.1215 0.1215 0.3785 (multiplicity 32)
Fe: 0.1752 0.1752 0.1752 (multiplicity 32)

Largest 10 diffraction maxima, by angle, 2θ = 15–90°:
- (2 2 2), d = 3.451 Å, intensity 30
- (4 0 0), d = 2.989 Å, intensity 21
- (3 3 1), d = 2.743 Å, intensity 23
- (4 2 2), d = 2.440 Å, intensity 32
- (3 3 3), d = 2.301 Å, intensity 85
- (4 4 0), d = 2.113 Å, intensity 100
- (5 5 1), d = 1.674 Å, intensity 17
- (7 3 3), d = 1.460 Å, intensity 19
- (8 2 2), d = 1.409 Å, intensity 22
- (7 7 3), d = 1.156 Å, intensity 19


Entry 8:
Starting from a GGA-PBE-relaxed structure, the X-ray powder pattern of ErFe2 was computed for λ = 1.5418 Å (Cu Kα).
Intensities are scaled so that the largest is 100.

Crystal structure
abc: 5.1289 5.1289 8.3029
angles: 90.00 90.00 120.00
Space group P6_3/mmc (No. 194)
Asymmetric unit:
Er: 0.3333 0.6667 0.0621 (multiplicity 4)
Fe: 0.0000 0.0000 0.0000 (multiplicity 2)
Fe: 0.1656 0.3312 0.7500 (multiplicity 6)

Largest 10 diffraction maxima, by angle, 2θ = 15–90°:
- (1 1 0), d = 2.564 Å, intensity 70
- (1 0 3), d = 2.349 Å, intensity 99
- (1 1 2), d = 2.182 Å, intensity 100
- (2 0 1), d = 2.145 Å, intensity 52
- (1 0 5), d = 1.556 Å, intensity 18
- (2 1 3), d = 1.435 Å, intensity 42
- (3 0 2), d = 1.395 Å, intensity 23
- (2 0 5), d = 1.330 Å, intensity 27
- (2 2 0), d = 1.282 Å, intensity 22
- (3 1 3), d = 1.125 Å, intensity 19